No. 1
Diffraction record for HgBi4H2. The X-ray diffraction stick pattern is simulated, not measured: it uses a crystal structure in Alexandria, relaxed with PBE and Cu Kα.
Lines closer than 0.1° are merged.

Principal peaks in the range 10 to 90 degrees two-theta, in order of rising 2θ:
Position (°2θ), I/Imax
21.07, 20
26.36, 29
27.77, 100
28.82, 48
28.94, 11
29.10, 13
35.86, 16
37.67, 39
39.83, 24
43.08, 26
49.90, 22
70.88, 14

Structure:
abc: 5.1108 4.5264 8.4753
angles: 90.00 95.70 90.00
Atoms (fractional coordinates):
Hg  0.0000  0.0000  0.0000
Bi  0.2656  0.0000  0.3241
Bi  0.3853  0.5000  0.7845
Bi  0.6147  0.5000  0.2155
Bi  0.7344  0.0000  0.6759
H  0.1809  0.5000  0.5905
H  0.8191  0.5000  0.4095



No. 2
Diffraction record for LiGe. The X-ray diffraction stick pattern is simulated, not measured: it uses a crystal structure in Alexandria, relaxed with PBE and Cu Kα.
Lines closer than 0.1° are merged.

Principal peaks in the range 10 to 90 degrees two-theta, in order of rising 2θ:
Position (°2θ), I/Imax
17.87, 15
17.98, 16
25.46, 100
36.40, 11
40.90, 37
42.80, 53
48.80, 32
52.07, 14
59.22, 11
68.26, 12
75.79, 18
80.19, 9

Structure:
abc: 7.5448 7.5448 7.5448
angles: 98.33 98.33 135.26
Atoms (fractional coordinates):
Li  0.0010  0.0354  0.6931
Li  0.1576  0.6920  0.1931
Li  0.1920  0.4990  0.5344
Li  0.4646  0.6576  0.9656
Li  0.5354  0.3424  0.0344
Li  0.8080  0.5010  0.4656
Li  0.8424  0.3080  0.8069
Li  0.9990  0.9646  0.3069
Ge  0.0587  0.2181  0.0537
Ge  0.2819  0.8356  0.8406
Ge  0.3356  0.9950  0.5537
Ge  0.4950  0.4413  0.6594
Ge  0.5050  0.5587  0.3406
Ge  0.6644  0.0050  0.4463
Ge  0.7181  0.1644  0.1594
Ge  0.9413  0.7819  0.9463



No. 3
Diffraction record for Ho3As4Pd4. The X-ray diffraction stick pattern is simulated, not measured: it uses a crystal structure in Alexandria, relaxed with PBE and Cu Kα.
Lines closer than 0.1° are merged.

Principal peaks in the range 10 to 90 degrees two-theta, in order of rising 2θ:
Position (°2θ), I/Imax
33.66, 100
34.45, 27
35.78, 79
38.40, 23
38.64, 18
42.70, 31
43.31, 37
46.64, 19
56.48, 18
62.45, 20
73.28, 10
75.50, 15

Structure:
abc: 8.1207 8.1207 8.1207
angles: 150.18 127.91 61.18
Atoms (fractional coordinates):
Ho  0.0000  0.0000  0.0000
Ho  0.3719  0.8719  0.5000
Ho  0.6281  0.1281  0.5000
As  0.2156  0.2156  0.0000
As  0.3017  0.5000  0.8017
As  0.6983  0.5000  0.1983
As  0.7844  0.7844  0.0000
Pd  0.0287  0.3277  0.7011
Pd  0.3734  0.6723  0.7011
Pd  0.6266  0.3277  0.2989
Pd  0.9713  0.6723  0.2989



> Which formula does entry 2 have?

LiGe